Structure and theoretical powder diffraction line list of BaLa2Mn3O9 (a cell relaxed with GGA+U; Cu Kα, 1.54184 Å).
Intensities are scaled so that the largest is 100.

Most intense lines, 2θ from 10° to 90°, sorted by position:
22.42°, rel. 30
31.76°, rel. 99
32.07°, rel. 100
39.23°, rel. 27
45.77°, rel. 63
56.59°, rel. 22
56.78°, rel. 40
57.37°, rel. 19
66.37°, rel. 18
67.08°, rel. 18

Atomic structure:
Lattice parameters (Å, degrees): 5.634 5.634 13.608 90.00 90.00 120.00
Fractional coordinates of all 30 atoms:
Ba 0.000 0.000 0.250
Ba 0.000 0.000 0.750
La 0.333 0.667 0.082
La 0.333 0.667 0.582
La 0.667 0.333 0.418
La 0.667 0.333 0.918
Mn 0.000 0.000 0.000
Mn 0.000 0.000 0.500
Mn 0.333 0.667 0.333
Mn 0.333 0.667 0.833
Mn 0.667 0.333 0.167
Mn 0.667 0.333 0.667
O 0.000 0.477 0.250
O 0.000 0.523 0.750
O 0.111 0.341 0.923
O 0.111 0.770 0.423
O 0.230 0.341 0.423
O 0.230 0.889 0.923
O 0.341 0.111 0.577
O 0.341 0.230 0.077
O 0.477 0.000 0.250
O 0.477 0.477 0.750
O 0.523 0.000 0.750
O 0.523 0.523 0.250
O 0.659 0.770 0.923
O 0.659 0.889 0.423
O 0.770 0.111 0.077
O 0.770 0.659 0.577
O 0.889 0.230 0.577
O 0.889 0.659 0.077